For GePb2S5, DFT lattice parameters and positions (PBE) gives the theoretical powder diffractogram in this record (λ = 1.5418 Å (Cu Kα)).
Peak positions follow from Bragg's law for the DFT cell and can differ from measured ones.

Peak list (10 most intense, 10° ≤ 2θ ≤ 90°, in order of falling intensity)
2θ 15.5, d 5.727, I 100
2θ 17.7, d 5.018, I 85
2θ 26.0, d 3.430, I 70
2θ 24.1, d 3.693, I 59
2θ 23.0, d 3.862, I 58
2θ 28.2, d 3.166, I 41
2θ 27.2, d 3.279, I 39
2θ 21.5, d 4.134, I 33
2θ 23.3, d 3.823, I 32
2θ 34.9, d 2.570, I 31

Structural model:
```
data_GePb2S5
_chemical_formula_sum 'Ge1 Pb2 S5'
_space_group_name_H-M_alt 'P 1'
_space_group_IT_number 1
_cell_length_a 5.7142
_cell_length_b 7.0761
_cell_length_c 7.3202
_cell_angle_alpha 105.67
_cell_angle_beta 109.12
_cell_angle_gamma 104.31
loop_
_space_group_symop_operation_xyz
'x,y,z'
loop_
_atom_site_label
_atom_site_type_symbol
_atom_site_fract_x
_atom_site_fract_y
_atom_site_fract_z
Ge1 Ge 0.0000 0.0000 0.0000
Pb1 Pb 0.6703 0.7663 0.3485
Pb2 Pb 0.7013 0.3628 0.8868
S1 S 0.0670 0.8044 0.1845
S2 S 0.1242 0.3412 0.1971
S3 S 0.1304 0.9257 0.7403
S4 S 0.5794 0.8983 0.7512
S5 S 0.6300 0.3530 0.2254
```